Starting from a cell relaxed with GGA-PBE, the X-ray diffraction stick pattern of Ac3Al3Cu2 was simulated for λ = 1.5418 Å (Cu Kα).
Neutral-atom scattering factors, no anomalous dispersion.

The 6 most intense peaks (10 to 80 degrees two-theta), low angle first:
two_theta, intensity
24.8, 74
28.9, 70
30.4, 100
32.5, 77
34.5, 50
36.3, 73

Structure:
```
data_Ac3Al3Cu2
_space_group_name_H-M_alt 'P n m a'
_space_group_IT_number 62
_space_group_name_Hall '-P 2ac 2n'
_cell_length_a 8.698
_cell_length_b 15.916
_cell_length_c 5.914
_cell_angle_alpha 90.00
_cell_angle_beta 90.00
_cell_angle_gamma 90.00
loop_
_atom_site_label
_atom_site_type_symbol
_atom_site_fract_x
_atom_site_fract_y
_atom_site_fract_z
Ac1 Ac 0.045 0.110 0.114
Ac2 Ac 0.195 0.250 0.586
Al1 Al 0.157 0.750 0.570
Al2 Al 0.182 0.034 0.613
Cu1 Cu 0.103 0.599 0.379
```